No. 1
Structure and simulated X-ray diffraction stick pattern of La2Sc (a structure optimized by DFT (PBE); CuKα).

Main lines, sorted by position (15° ≤ 2θ ≤ 90°):
| 2θ/deg | d/Å | Rel. int. |
| --- | --- | --- |
| 18.25 | 4.860 | 25.6 |
| 28.04 | 3.182 | 11.2 |
| 31.06 | 2.879 | 100.0 |
| 31.89 | 2.806 | 76.7 |
| 32.88 | 2.724 | 10.8 |
| 45.12 | 2.009 | 29.8 |
| 53.97 | 1.699 | 10.4 |
| 56.31 | 1.634 | 25.9 |
| 56.83 | 1.620 | 10.5 |
| 61.53 | 1.507 | 22.5 |

Crystal structure
```
La2Sc
1.0
9.720 0.000 0.000
-4.860 8.418 0.000
0.000 0.000 3.573
La Sc
6 3
direct
0.000 0.305 0.000
0.000 0.641 0.500
0.305 0.000 0.000
0.359 0.359 0.500
0.641 0.000 0.500
0.695 0.695 0.000
0.000 0.000 0.500
0.333 0.667 0.000
0.667 0.333 0.000
```

---

No. 2
Structure and simulated X-ray diffraction stick pattern of CaTm (a structure optimized by DFT (PBE); CuKα).

Main lines, sorted by position (15° ≤ 2θ ≤ 90°):
| 2θ/deg | d/Å | Rel. int. |
| --- | --- | --- |
| 21.01 | 4.228 | 25.4 |
| 29.21 | 3.058 | 100.0 |
| 30.22 | 2.957 | 96.8 |
| 32.45 | 2.759 | 39.9 |
| 33.95 | 2.641 | 67.1 |
| 35.43 | 2.534 | 31.6 |
| 39.48 | 2.282 | 18.8 |
| 49.88 | 1.828 | 44.7 |
| 57.27 | 1.609 | 24.5 |
| 59.05 | 1.564 | 26.7 |

Crystal structure
```
CaTm
1.0
3.642 0.000 0.000
0.000 5.067 0.000
-0.009 0.000 7.669
Ca Tm
2 2
direct
0.250 0.250 0.138
0.750 0.750 0.862
0.250 0.250 0.605
0.750 0.750 0.395
```

---

No. 3
Structure and simulated X-ray diffraction stick pattern of CsSnHgI3 (a structure optimized by DFT (PBE); CuKα).

Main lines, sorted by position (15° ≤ 2θ ≤ 90°):
| 2θ/deg | d/Å | Rel. int. |
| --- | --- | --- |
| 17.19 | 5.159 | 69.1 |
| 22.71 | 3.915 | 58.6 |
| 26.30 | 3.389 | 100.0 |
| 26.50 | 3.364 | 55.8 |
| 28.18 | 3.166 | 50.8 |
| 29.15 | 3.064 | 33.2 |
| 31.12 | 2.874 | 41.3 |
| 31.94 | 2.802 | 31.7 |
| 32.11 | 2.788 | 38.5 |
| 38.52 | 2.337 | 31.7 |

Crystal structure
```
CsSnHgI3
1.0
5.235 -8.022 0.000
5.235 8.022 0.000
-1.339 0.000 7.755
Cs Sn Hg I
2 2 2 6
direct
0.227 0.773 0.750
0.773 0.227 0.250
0.438 0.562 0.250
0.562 0.438 0.750
0.019 0.981 0.250
0.981 0.019 0.750
0.245 0.755 0.250
0.247 0.387 0.536
0.387 0.247 0.036
0.613 0.753 0.964
0.753 0.613 0.464
0.755 0.245 0.750
```

---

No. 4
Structure and simulated X-ray diffraction stick pattern of CaMnPb4 (a structure optimized by DFT (PBE); CuKα).

Main lines, sorted by position (15° ≤ 2θ ≤ 90°):
| 2θ/deg | d/Å | Rel. int. |
| --- | --- | --- |
| 16.82 | 5.270 | 77.9 |
| 32.53 | 2.752 | 100.0 |
| 34.02 | 2.635 | 86.5 |
| 39.49 | 2.282 | 33.9 |
| 43.20 | 2.094 | 23.8 |
| 52.06 | 1.757 | 35.8 |
| 57.08 | 1.614 | 37.6 |
| 59.95 | 1.543 | 18.8 |
| 68.14 | 1.376 | 36.4 |
| 80.89 | 1.188 | 23.0 |

Crystal structure
```
CaMnPb4
1.0
0.000 4.564 4.564
4.564 0.000 4.564
4.564 4.564 0.000
Ca Mn Pb
1 1 4
direct
0.000 0.000 0.000
0.750 0.750 0.750
0.375 0.375 0.375
0.375 0.375 0.875
0.375 0.875 0.375
0.875 0.375 0.375
```